Structure and simulated powder diffraction line list of La2NiHPt (a structure optimized by DFT (GGA-PBE); Cu Ka).
Intensities are scaled so that the largest is 100.

Atomic structure:
```
La2NiHPt
1.0
5.1655 0.0000 0.0000
0.0000 5.1655 0.0000
0.0000 0.0000 3.6094
La Ni H Pt
2 1 1 1
Direct
0.0000 0.5000 0.0000 La
0.5000 0.0000 0.0000 La
0.0000 0.0000 0.5000 Ni
0.0000 0.0000 0.0000 H
0.5000 0.5000 0.5000 Pt
```

Principal peaks in the range 2θ = 10–90°, sorted by position:
2θ/deg  d_spacing  I (rel.)
17.17  5.165  15.1
30.21  2.959  8.4
34.73  2.583  51.4
34.95  2.567  100.0
49.94  1.826  18.3
50.58  1.805  8.8
62.40  1.488  37.0
62.82  1.479  18.2
73.82  1.284  11.3
83.74  1.155  8.2
83.86  1.154  8.1
84.85  1.143  7.9